Diffraction record for Rb6Cd15Au8. The PXRD pattern is computed, not measured: it uses a cell relaxed with PBE and λ = 1.5418 Å (Cu Kα).

Largest 10 diffraction maxima, in order of falling intensity, 2θ = 10–90°:
- d = 2.662 Å, 2θ = 33.7°, rel. 100.0, (4 4 0)
- d = 7.528 Å, 2θ = 11.8°, rel. 41.5, (2 0 0)
- d = 2.509 Å, 2θ = 35.8°, rel. 22.2, (6 0 0)
- d = 1.537 Å, 2θ = 60.2°, rel. 19.2, (8 4 4)
- d = 2.088 Å, 2θ = 43.3°, rel. 18.7, (6 4 0)
- d = 8.693 Å, 2θ = 10.2°, rel. 16.9, (1 1 1)
- d = 2.381 Å, 2θ = 37.8°, rel. 16.4, (6 2 0)
- d = 3.367 Å, 2θ = 26.5°, rel. 15.7, (4 2 0)
- d = 2.545 Å, 2θ = 35.3°, rel. 13.3, (5 3 1)
- d = 1.125 Å, 2θ = 86.5°, rel. 13.2, (11 7 3)

Crystal structure
abc: 15.0559 15.0559 15.0559
angles: 90.00 90.00 90.00
Space group Fm-3m (No. 225)
One atom of each set of equivalent atoms:
1 Rb 0.0000 0.0000 0.2396 (multiplicity 24)
2 Cd 0.0000 0.0000 0.5000 (multiplicity 4)
3 Cd 0.0000 0.2500 0.2500 (multiplicity 24)
4 Cd 0.1682 0.1682 0.1682 (multiplicity 32)
5 Au 0.1419 0.1419 0.3581 (multiplicity 32)